This entry pairs a crystal structure of Y3Ga2Rh2 with its calculated X-ray diffraction stick pattern. Radiation: Cu Kα. Structure: a GGA-PBE-relaxed structure.
Intensities are scaled so that the largest is 100.

Top 10 peaks for 5° ≤ 2θ ≤ 70°, most intense first:
2θ (°)  I_rel
39.65  100
34.24  85
34.86  75
38.21  67
32.78  40
39.45  34
43.22  23
38.54  22
20.63  21
58.71  20

Crystal structure
```
Y3Ga2Rh2
1.0
5.5643 0.0000 0.0000
0.0000 7.7992 0.0000
0.0000 0.0000 13.7040
Y Ga Rh
12 8 8
Cartesian
0.7162 1.8344 3.4260
0.7162 2.0652 10.2780
1.9404 4.6675 1.3515
1.9404 4.6675 5.5005
1.9404 7.0313 8.2035
1.9404 7.0313 12.3525
3.6239 0.7679 1.3515
3.6239 0.7679 5.5005
3.6239 3.1317 8.2035
3.6239 3.1317 12.3525
4.8481 5.7340 3.4260
4.8481 5.9648 10.2780
0.8058 1.9498 0.0000
0.8058 1.9498 6.8520
2.0824 4.7684 10.2780
2.0824 6.9304 3.4260
3.4819 0.8688 10.2780
3.4819 3.0308 3.4260
4.7584 5.8494 0.0000
4.7584 5.8494 6.8520
0.7961 4.1935 8.1218
0.7961 4.1935 12.4343
0.7961 7.5054 1.2697
0.7961 7.5054 5.5823
4.7682 0.2939 8.1218
4.7682 0.2939 12.4343
4.7682 3.6058 1.2697
4.7682 3.6058 5.5823
```

This entry pairs a crystal structure of Zn2GaRh2 with its calculated X-ray diffraction stick pattern. Radiation: Cu Kα. Structure: a GGA-PBE-relaxed structure.
Intensities are scaled so that the largest is 100.

Top 10 peaks for 5° ≤ 2θ ≤ 70°, most intense first:
2θ (°)  I_rel
43.07  100
42.71  70
42.92  43
24.47  27
17.07  23
62.41  20
62.17  14
29.93  12
46.59  7
30.11  6

Crystal structure
```
Zn2GaRh2
1.0
7.2679 0.0000 0.0000
0.0000 4.2048 0.0000
-0.0345 0.0000 5.1931
Zn Ga Rh
4 2 4
Cartesian
1.2100 0.0000 1.8815
2.3894 2.1024 3.3116
4.8440 2.1024 1.8815
6.0234 0.0000 3.3116
0.0000 2.1024 0.0000
3.6340 0.0000 0.0000
1.1770 0.0000 4.4224
2.4224 2.1024 0.7707
4.8110 2.1024 4.4224
6.0564 0.0000 0.7707
```

This entry pairs a crystal structure of ZnGaRh with its calculated X-ray diffraction stick pattern. Radiation: Cu Kα. Structure: a GGA-PBE-relaxed structure.
Intensities are scaled so that the largest is 100.

Top 10 peaks for 5° ≤ 2θ ≤ 70°, most intense first:
2θ (°)  I_rel
43.82  100
20.34  35
21.18  30
41.36  30
43.14  26
61.30  18
38.38  13
37.90  13
57.70  8
66.06  7

Crystal structure
```
ZnGaRh
1.0
2.8286 0.0000 0.0000
0.0000 4.1942 0.0000
0.0000 0.0000 4.3656
Zn Ga Rh
1 1 1
Cartesian
0.0000 0.0000 0.0000
0.0000 2.0971 2.1828
1.4143 0.0000 2.1828
```

This entry pairs a crystal structure of Zn3Ga6Rh with its calculated X-ray diffraction stick pattern. Radiation: Cu Kα. Structure: a GGA-PBE-relaxed structure.
Intensities are scaled so that the largest is 100.

Top 10 peaks for 5° ≤ 2θ ≤ 70°, most intense first:
2θ (°)  I_rel
37.46  100
33.78  58
42.34  51
41.90  51
44.11  36
39.34  31
32.54  30
14.63  29
44.91  28
45.11  25

Crystal structure
```
Zn3Ga6Rh
1.0
5.5612 -2.6919 0.0000
5.5612 2.6919 0.0000
-3.6641 0.0000 6.0537
Zn Ga Rh
3 6 1
Cartesian
0.0000 0.0000 0.0000
-1.0416 0.0000 4.1273
8.4998 0.0000 1.9264
1.7574 1.2772 4.0404
2.7743 0.0000 0.7089
5.7008 1.2772 2.0132
1.7574 -1.2772 4.0404
4.6839 0.0000 5.3448
5.7008 -1.2772 2.0132
3.7291 0.0000 3.0268
```

This entry pairs a crystal structure of Zr6Ga3Rh with its calculated X-ray diffraction stick pattern. Radiation: Cu Kα. Structure: a GGA-PBE-relaxed structure.
Intensities are scaled so that the largest is 100.

Top 10 peaks for 5° ≤ 2θ ≤ 70°, most intense first:
2θ (°)  I_rel
38.21  100
33.59  44
34.18  41
35.95  36
35.68  32
36.49  24
36.33  24
33.75  24
54.53  23
33.35  22

Crystal structure
```
Zr6Ga3Rh
1.0
5.4384 0.0000 0.0000
0.0000 7.8384 0.0000
-5.2259 0.0000 9.8485
Zr Ga Rh
12 6 2
Cartesian
-2.1407 1.3341 4.2417
-4.7537 2.5851 9.1660
-0.4008 5.2974 4.2413
-3.0138 6.4603 9.1655
0.8413 0.3201 2.5038
-1.7717 3.5991 7.4281
1.9841 4.2393 2.4204
-0.6288 7.5183 7.3447
3.2263 1.3782 0.6830
0.6133 2.5410 5.6073
4.9662 5.2533 0.6825
2.3532 6.5043 5.6068
0.0000 0.0000 0.0000
-2.6130 3.9192 4.9243
-3.1519 0.9676 7.4278
-0.5390 2.9516 2.5035
0.7514 4.8868 7.3450
3.3644 6.8708 2.4207
0.1062 0.0000 4.9243
2.7192 3.9192 0.0000
```

This entry pairs a crystal structure of Zr3Ga4Rh with its calculated X-ray diffraction stick pattern. Radiation: Cu Kα. Structure: a GGA-PBE-relaxed structure.
Intensities are scaled so that the largest is 100.

Top 10 peaks for 5° ≤ 2θ ≤ 70°, most intense first:
2θ (°)  I_rel
38.33  100
35.69  80
39.57  43
45.77  37
30.41  20
60.29  16
39.06  15
62.07  14
45.24  12
62.35  12

Crystal structure
```
Zr3Ga4Rh
1.0
2.9786 0.0000 0.0000
0.0000 5.4812 0.0000
0.0000 0.0000 18.2192
Zr Ga Rh
6 8 2
Cartesian
0.0000 0.0000 0.0000
0.0000 2.7406 4.4327
0.0000 2.7406 13.7865
1.4893 0.0000 4.6769
1.4893 0.0000 13.5423
1.4893 2.7406 9.1096
0.0000 1.3472 6.9372
0.0000 1.3472 11.2820
0.0000 4.1340 6.9372
0.0000 4.1340 11.2820
1.4893 1.3934 2.1724
1.4893 1.3934 16.0468
1.4893 4.0877 2.1724
1.4893 4.0877 16.0468
0.0000 0.0000 9.1096
1.4893 2.7406 0.0000
```

This entry pairs a crystal structure of ZrGa3Rh4 with its calculated X-ray diffraction stick pattern. Radiation: Cu Kα. Structure: a GGA-PBE-relaxed structure.
Intensities are scaled so that the largest is 100.

Top 10 peaks for 5° ≤ 2θ ≤ 70°, most intense first:
2θ (°)  I_rel
41.03  100
41.16  94
59.52  31
28.74  5
37.68  3
56.94  1
31.40  1
50.87  1
67.33  1
24.80  1

Crystal structure
```
ZrGa3Rh4
1.0
2.1997 1.2700 7.1513
-2.1997 1.2700 7.1513
0.0000 -2.5399 7.1513
Zr Ga Rh
1 3 4
Cartesian
0.0000 0.0000 0.0000
0.0000 0.0000 5.3977
0.0000 0.0000 10.7270
0.0000 0.0000 16.0564
0.0000 0.0000 2.7532
0.0000 0.0000 8.2011
0.0000 0.0000 13.2529
0.0000 0.0000 18.7008
```

This entry pairs a crystal structure of GaRu5 with its calculated X-ray diffraction stick pattern. Radiation: Cu Kα. Structure: a GGA-PBE-relaxed structure.
Intensities are scaled so that the largest is 100.

Top 10 peaks for 5° ≤ 2θ ≤ 70°, most intense first:
2θ (°)  I_rel
42.81  100
41.52  30
39.65  23
58.76  14
38.97  11
65.43  8
51.38  6
63.58  5
34.07  4
41.26  4

Crystal structure
```
GaRu5
1.0
4.3495 0.0000 0.0000
0.0000 13.6395 0.0000
0.0000 0.0000 2.8527
Ga Ru
2 10
Cartesian
0.0000 0.0000 0.0000
2.1747 6.8198 0.0000
0.0000 2.0273 1.4263
0.0000 4.2597 0.0000
0.0000 6.8198 1.4263
0.0000 9.3798 0.0000
0.0000 11.6122 1.4263
2.1747 0.0000 1.4263
2.1747 2.5601 0.0000
2.1747 4.7924 1.4263
2.1747 8.8471 1.4263
2.1747 11.0794 0.0000
```